For CdCu2Au7, a PBE-relaxed structure gives the simulated X-ray diffraction stick pattern in this record (Cu Kα (λ = 1.5418 Å)).

Atomic structure:
```
data_CdCu2Au7
_cell_length_a 7.4684
_cell_length_b 12.7746
_cell_length_c 4.5623
_cell_angle_alpha 90.00
_cell_angle_beta 90.00
_cell_angle_gamma 90.00
_space_group_name_H-M_alt 'C m m m'
_space_group_IT_number 65
_space_group_name_Hall '-C 2 2'
loop_
_atom_site_label
_atom_site_fract_x
_atom_site_fract_y
_atom_site_fract_z
Cd1 0.0000 0.0000 0.0000
Cu1 0.0000 0.2976 0.5000
Au1 0.0000 0.2139 0.0000
Au2 0.0000 0.5000 0.5000
Au3 0.1878 0.1157 0.5000
```

Main lines, by intensity (2θ = 15–90°):
index	2θ/deg	I_rel
1 5 1	42.3	1000
3 1 1	41.9	915
2 4 0	37.0	834
0 0 2	39.5	705
0 2 1	24.0	607
0 4 1	34.3	597
0 0 1	19.5	584
2 0 1	30.9	542
2 4 2	55.3	538
5 5 1	76.8	355